No. 1
Diffraction record for Ti2Ni2O. The powder XRD pattern is calculated, not measured: it uses the GGA+U geometry in Alexandria and Cu Kα (λ = 1.5418 Å).
No peak broadening, texture or thermal motion is included.

Principal peaks in the range 10° ≤ 2θ ≤ 80°, low angle first:
- 2θ = 19.6°, 4.540 Å, rel. 32, hkl 1 1 0
- 2θ = 40.7°, 2.217 Å, rel. 8, hkl 2 0 1
- 2θ = 43.2°, 2.095 Å, rel. 100, hkl 2 1 1
- 2θ = 44.6°, 2.030 Å, rel. 28, hkl 3 1 0
- 2θ = 51.3°, 1.781 Å, rel. 9, hkl 3 2 0
- 2θ = 57.4°, 1.605 Å, rel. 9, hkl 4 0 0
- 2θ = 60.4°, 1.532 Å, rel. 9, hkl 0 0 2
- 2θ = 78.2°, 1.223 Å, rel. 9, hkl 3 1 2

Crystal structure
```
data_Ti2Ni2O
_chemical_formula_sum 'Ti4 Ni4 O2'
_symmetry_space_group_name_H-M 'P 1'
_symmetry_Int_Tables_number 1
_symmetry_space_group_name_Hall 'P 1'
_cell_length_a 6.4205
_cell_length_b 6.4205
_cell_length_c 3.0643
_cell_angle_alpha 90.00
_cell_angle_beta 90.00
_cell_angle_gamma 90.00
loop_
_atom_site_label
_atom_site_fract_x
_atom_site_fract_y
_atom_site_fract_z
Ti1 0.1724 0.3276 0.0000
Ti2 0.3276 0.8276 0.0000
Ti3 0.6724 0.1724 0.0000
Ti4 0.8276 0.6724 0.0000
Ni1 0.1297 0.6297 0.5000
Ni2 0.3703 0.1297 0.5000
Ni3 0.6297 0.8703 0.5000
Ni4 0.8703 0.3703 0.5000
O1 0.0000 0.0000 0.5000
O2 0.5000 0.5000 0.5000
```

=====

No. 2
Diffraction record for NaDy2MnO5. The powder XRD pattern is calculated, not measured: it uses the GGA+U geometry in Alexandria and Cu Kα (λ = 1.5418 Å).
No peak broadening, texture or thermal motion is included.

Principal peaks in the range 10° ≤ 2θ ≤ 80°, low angle first:
- 2θ = 15.5°, 5.707 Å, rel. 100, hkl 0 0 1
- 2θ = 30.9°, 2.893 Å, rel. 37, hkl 2 1 0
- 2θ = 31.3°, 2.854 Å, rel. 36, hkl 0 0 2
- 2θ = 31.8°, 2.814 Å, rel. 76, hkl 2 0 1
- 2θ = 34.8°, 2.581 Å, rel. 92, hkl 2 1 1
- 2θ = 44.6°, 2.032 Å, rel. 66, hkl 2 1 2
- 2θ = 47.2°, 1.926 Å, rel. 25, hkl 3 1 1
- 2θ = 61.3°, 1.513 Å, rel. 27, hkl 4 1 1

Crystal structure
```
data_NaDy2MnO5
_chemical_formula_sum 'Na2 Dy4 Mn2 O10'
_symmetry_space_group_name_H-M 'P 1'
_symmetry_Int_Tables_number 1
_symmetry_space_group_name_Hall 'P 1'
_cell_length_a 6.4694
_cell_length_b 6.4694
_cell_length_c 5.7073
_cell_angle_alpha 90.00
_cell_angle_beta 90.00
_cell_angle_gamma 90.00
loop_
_atom_site_label
_atom_site_fract_x
_atom_site_fract_y
_atom_site_fract_z
Na1 0.0000 0.0000 0.0000
Na2 0.5000 0.5000 0.0000
Dy1 0.1779 0.3221 0.5000
Dy2 0.3221 0.8221 0.5000
Dy3 0.6779 0.1779 0.5000
Dy4 0.8221 0.6779 0.5000
Mn1 0.0000 0.5000 0.0000
Mn2 0.5000 0.0000 0.0000
O1 0.0000 0.0000 0.5000
O2 0.1384 0.6384 0.2448
O3 0.1384 0.6384 0.7552
O4 0.3616 0.1384 0.2448
O5 0.3616 0.1384 0.7552
O6 0.5000 0.5000 0.5000
O7 0.6384 0.8616 0.2448
O8 0.6384 0.8616 0.7552
O9 0.8616 0.3616 0.2448
O10 0.8616 0.3616 0.7552
```